For CsPu2TlCl8, a structure optimized by DFT (PBE) gives the theoretical powder X-ray diffraction pattern in this record (Cu Kα X-rays).
No peak broadening, texture or thermal motion is included.

Structural model:
abc: 6.8627 7.5951 8.6272
angles: 89.96 89.95 88.19
Sites, in units of the cell vectors:
Cs 0.0000 0.0000 0.0000
Pu 0.5000 0.5000 0.2534
Pu 0.5000 0.5000 0.7466
Tl 0.0000 0.0000 0.5000
Cl 0.2821 0.3756 0.5002
Cl 0.2855 0.3845 0.0003
Cl 0.2892 0.7991 0.2645
Cl 0.2891 0.7989 0.7353
Cl 0.7109 0.2011 0.2647
Cl 0.7108 0.2009 0.7355
Cl 0.7145 0.6155 0.9997
Cl 0.7179 0.6244 0.4998

Top 10 peaks for 10° ≤ 2θ ≤ 90°, in order of rising 2θ:
two_theta  I/Imax  hkl
17.15  100  1 1 0
17.70  76  1 -1 0
23.44  31  0 2 0
23.72  53  0 1 2
24.38  78  1 0 -2
33.77  37  1 2 2
34.36  25  1 -2 2
35.18  51  2 1 2
35.79  53  2 -2 0
38.30  19  1 -3 0